Calculated powder diffractogram
Compound: KBa2Sb2
Radiation: Cu Ka
Structure: a cell relaxed with GGA-PBE
Neutral-atom scattering factors, no anomalous dispersion.

The 10 most intense peaks (10 to 90 degrees two-theta), most intense first:
2θ = 29.38°, rel. 100
2θ = 28.02°, rel. 38
2θ = 12.43°, rel. 25
2θ = 53.83°, rel. 22
2θ = 57.86°, rel. 13
2θ = 35.66°, rel. 13
2θ = 37.90°, rel. 12
2θ = 52.94°, rel. 12
2θ = 43.05°, rel. 12
2θ = 43.95°, rel. 9

Crystal structure
```
data_KBa2Sb2
_chemical_formula_sum 'K2 Ba4 Sb4'
_symmetry_space_group_name_H-M 'P 4/m b m'
_symmetry_Int_Tables_number 127
_symmetry_space_group_name_Hall '-P 4 2ab'
_cell_length_a 10.0715
_cell_length_b 10.0715
_cell_length_c 4.1201
_cell_angle_alpha 90.00
_cell_angle_beta 90.00
_cell_angle_gamma 90.00
loop_
_atom_site_label
_atom_site_type_symbol
_atom_site_fract_x
_atom_site_fract_y
_atom_site_fract_z
K1 K 0.0000 0.0000 0.0000
Ba1 Ba 0.1333 0.3667 0.5000
Sb1 Sb 0.1650 0.6650 0.0000
```



Calculated powder diffractogram
Compound: La4PmY5
Radiation: Cu Ka
Structure: a cell relaxed with GGA-PBE
Neutral-atom scattering factors, no anomalous dispersion.

The 10 most intense peaks (10 to 90 degrees two-theta), most intense first:
2θ = 29.07°, rel. 100
2θ = 30.26°, rel. 53
2θ = 31.23°, rel. 42
2θ = 35.38°, rel. 37
2θ = 52.49°, rel. 34
2θ = 27.84°, rel. 24
2θ = 36.66°, rel. 17
2θ = 50.90°, rel. 15
2θ = 59.69°, rel. 14
2θ = 68.21°, rel. 14

Crystal structure
```
data_La4PmY5
_chemical_formula_sum 'La8 Pm2 Y10'
_symmetry_space_group_name_H-M 'P 4/n m m'
_symmetry_Int_Tables_number 129
_cell_length_a 10.7632
_cell_length_b 10.7632
_cell_length_c 5.9425
_cell_angle_alpha 90.00
_cell_angle_beta 90.00
_cell_angle_gamma 90.00
loop_
_symmetry_equiv_pos_as_xyz
'x,y,z'
'-x,-y,-z'
'-y+1/2,x,z'
'y+1/2,-x,-z'
'-x+1/2,-y+1/2,z'
'x+1/2,y+1/2,-z'
'y,-x+1/2,z'
'-y,x+1/2,-z'
'x+1/2,-y,-z'
'-x+1/2,y,z'
'-y,-x,-z'
'y,x,z'
'-x,y+1/2,-z'
'x,-y+1/2,z'
'y+1/2,x+1/2,-z'
'-y+1/2,-x+1/2,z'
loop_
_atom_site_label
_atom_site_type_symbol
_atom_site_fract_x
_atom_site_fract_y
_atom_site_fract_z
La1 La 0.0446 0.7500 0.1272
Pm1 Pm 0.2500 0.2500 0.8865
Y1 Y 0.0894 0.0894 0.3446
Y2 Y 0.2500 0.7500 0.5000
```



Calculated powder diffractogram
Compound: CaTmAu4
Radiation: Cu Ka
Structure: a cell relaxed with GGA-PBE
Neutral-atom scattering factors, no anomalous dispersion.

The 10 most intense peaks (10 to 90 degrees two-theta), most intense first:
2θ = 34.98°, rel. 100
2θ = 36.95°, rel. 83
2θ = 44.52°, rel. 71
2θ = 41.01°, rel. 58
2θ = 27.93°, rel. 45
2θ = 23.88°, rel. 32
2θ = 66.73°, rel. 31
2θ = 47.73°, rel. 31
2θ = 64.71°, rel. 30
2θ = 37.96°, rel. 29

Crystal structure
```
data_CaTmAu4
_chemical_formula_sum 'Ca2 Tm2 Au8'
_symmetry_space_group_name_H-M 'A m m 2'
_symmetry_Int_Tables_number 38
_symmetry_space_group_name_Hall 'A 2 -2'
_cell_length_a 7.4535
_cell_length_b 3.8111
_cell_length_c 9.4815
_cell_angle_alpha 90.00
_cell_angle_beta 90.00
_cell_angle_gamma 90.00
loop_
_atom_site_label
_atom_site_type_symbol
_atom_site_fract_x
_atom_site_fract_y
_atom_site_fract_z
Ca1 Ca 0.0000 0.0000 0.0000
Tm1 Tm 0.5000 0.0000 0.1230
Au1 Au 0.2067 0.0000 0.7051
Au2 Au 0.3100 0.0000 0.4157
```



Calculated powder diffractogram
Compound: CaLa2Sm4
Radiation: Cu Ka
Structure: a cell relaxed with GGA-PBE
Neutral-atom scattering factors, no anomalous dispersion.

The 10 most intense peaks (10 to 90 degrees two-theta), most intense first:
2θ = 29.65°, rel. 100
2θ = 34.30°, rel. 67
2θ = 29.42°, rel. 33
2θ = 58.58°, rel. 28
2θ = 49.44°, rel. 24
2θ = 49.15°, rel. 23
2θ = 58.71°, rel. 14
2θ = 58.32°, rel. 13
2θ = 61.55°, rel. 12
2θ = 80.24°, rel. 12

Crystal structure
```
data_CaLa2Sm4
_chemical_formula_sum 'Ca3 La6 Sm12'
_symmetry_space_group_name_H-M 'R -3 m'
_symmetry_Int_Tables_number 166
_symmetry_space_group_name_Hall '-R 3 2"'
_cell_length_a 3.6870
_cell_length_b 3.6870
_cell_length_c 63.7485
_cell_angle_alpha 90.00
_cell_angle_beta 90.00
_cell_angle_gamma 120.00
loop_
_atom_site_label
_atom_site_type_symbol
_atom_site_fract_x
_atom_site_fract_y
_atom_site_fract_z
Ca1 Ca 0.0000 0.0000 0.0000
La1 La 0.0000 0.0000 0.4293
Sm1 Sm 0.0000 0.0000 0.1439
Sm2 Sm 0.0000 0.0000 0.2834
```



Calculated powder diffractogram
Compound: LiAc2RhO5
Radiation: Cu Ka
Structure: a cell relaxed with GGA-PBE
Neutral-atom scattering factors, no anomalous dispersion.

The 10 most intense peaks (10 to 90 degrees two-theta), most intense first:
2θ = 31.62°, rel. 100
2θ = 29.04°, rel. 90
2θ = 15.18°, rel. 86
2θ = 41.68°, rel. 62
2θ = 27.57°, rel. 48
2θ = 17.33°, rel. 44
2θ = 42.43°, rel. 42
2θ = 30.64°, rel. 35
2θ = 54.61°, rel. 35
2θ = 61.68°, rel. 25

Crystal structure
```
data_LiAc2RhO5
_chemical_formula_sum 'Li2 Ac4 Rh2 O10'
_symmetry_space_group_name_H-M 'P 4/m b m'
_symmetry_Int_Tables_number 127
_symmetry_space_group_name_Hall '-P 4 2ab'
_cell_length_a 7.2356
_cell_length_b 7.2356
_cell_length_c 5.8365
_cell_angle_alpha 90.00
_cell_angle_beta 90.00
_cell_angle_gamma 90.00
loop_
_atom_site_label
_atom_site_type_symbol
_atom_site_fract_x
_atom_site_fract_y
_atom_site_fract_z
Li1 Li 0.0000 0.0000 0.0000
Ac1 Ac 0.1796 0.3204 0.5000
Rh1 Rh 0.0000 0.5000 0.0000
O1 O 0.0000 0.0000 0.5000
O2 O 0.1313 0.6313 0.2439
```



Calculated powder diffractogram
Compound: Ce2Th2Hg2C
Radiation: Cu Ka
Structure: a cell relaxed with GGA-PBE
Neutral-atom scattering factors, no anomalous dispersion.

The 10 most intense peaks (10 to 90 degrees two-theta), most intense first:
2θ = 31.47°, rel. 100
2θ = 34.94°, rel. 84
2θ = 32.07°, rel. 60
2θ = 31.59°, rel. 52
2θ = 40.04°, rel. 25
2θ = 54.50°, rel. 20
2θ = 53.74°, rel. 18
2θ = 49.97°, rel. 16
2θ = 60.23°, rel. 15
2θ = 50.51°, rel. 13

Crystal structure
```
data_Ce2Th2Hg2C
_chemical_formula_sum 'Ce2 Th2 Hg2 C1'
_symmetry_space_group_name_H-M 'P -1'
_symmetry_Int_Tables_number 2
_symmetry_space_group_name_Hall '-P 1'
_cell_length_a 3.6502
_cell_length_b 7.1885
_cell_length_c 7.2295
_cell_angle_alpha 103.38
_cell_angle_beta 90.13
_cell_angle_gamma 104.54
loop_
_atom_site_label
_atom_site_type_symbol
_atom_site_fract_x
_atom_site_fract_y
_atom_site_fract_z
Ce1 Ce 0.1820 0.3728 0.1105
Th1 Th 0.4921 0.9808 0.2342
Hg1 Hg 0.1631 0.3238 0.5594
C1 C 0.0000 0.0000 0.0000
```



Calculated powder diffractogram
Compound: Sm2SiH
Radiation: Cu Ka
Structure: a cell relaxed with GGA-PBE
Neutral-atom scattering factors, no anomalous dispersion.

The 10 most intense peaks (10 to 90 degrees two-theta), most intense first:
2θ = 27.44°, rel. 100
2θ = 30.78°, rel. 66
2θ = 28.72°, rel. 64
2θ = 35.10°, rel. 41
2θ = 40.14°, rel. 34
2θ = 19.76°, rel. 33
2θ = 45.96°, rel. 27
2θ = 56.49°, rel. 22
2θ = 32.95°, rel. 21
2θ = 44.26°, rel. 17

Crystal structure
```
data_Sm2SiH
_chemical_formula_sum 'Sm6 Si3 H3'
_symmetry_space_group_name_H-M 'P 31 2 1'
_symmetry_Int_Tables_number 152
_symmetry_space_group_name_Hall 'P 31 2"'
_cell_length_a 6.2170
_cell_length_b 6.2170
_cell_length_c 8.1559
_cell_angle_alpha 90.00
_cell_angle_beta 90.00
_cell_angle_gamma 120.00
loop_
_atom_site_label
_atom_site_type_symbol
_atom_site_fract_x
_atom_site_fract_y
_atom_site_fract_z
Sm1 Sm 0.1092 0.3925 0.3774
Si1 Si 0.0000 0.5954 0.6667
H1 H 0.0000 0.5492 0.1667
```



Calculated powder diffractogram
Compound: KAgOs
Radiation: Cu Ka
Structure: a cell relaxed with GGA-PBE
Neutral-atom scattering factors, no anomalous dispersion.

The 10 most intense peaks (10 to 90 degrees two-theta), most intense first:
2θ = 15.16°, rel. 100
2θ = 39.14°, rel. 38
2θ = 42.19°, rel. 32
2θ = 29.99°, rel. 27
2θ = 30.59°, rel. 25
2θ = 50.47°, rel. 24
2θ = 38.95°, rel. 19
2θ = 42.03°, rel. 16
2θ = 50.32°, rel. 12
2θ = 41.15°, rel. 11

Crystal structure
```
data_KAgOs
_chemical_formula_sum 'K2 Ag2 Os2'
_symmetry_space_group_name_H-M 'I m m 2'
_symmetry_Int_Tables_number 44
_symmetry_space_group_name_Hall 'I 2 -2'
_cell_length_a 2.6540
_cell_length_b 4.6241
_cell_length_c 11.6901
_cell_angle_alpha 90.00
_cell_angle_beta 90.00
_cell_angle_gamma 90.00
loop_
_atom_site_label
_atom_site_type_symbol
_atom_site_fract_x
_atom_site_fract_y
_atom_site_fract_z
K1 K 0.0000 0.0000 0.0000
Ag1 Ag 0.0000 0.0000 0.2751
Os1 Os 0.0000 0.0000 0.7215
```



Calculated powder diffractogram
Compound: Tb4Ho2TmMg
Radiation: Cu Ka
Structure: a cell relaxed with GGA-PBE
Neutral-atom scattering factors, no anomalous dispersion.

The 10 most intense peaks (10 to 90 degrees two-theta), most intense first:
2θ = 31.27°, rel. 100
2θ = 36.20°, rel. 34
2θ = 52.27°, rel. 24
2θ = 36.40°, rel. 17
2θ = 62.00°, rel. 14
2θ = 62.09°, rel. 14
2θ = 62.32°, rel. 14
2θ = 65.24°, rel. 12
2θ = 52.12°, rel. 12
2θ = 85.25°, rel. 6

Crystal structure
```
data_Tb4Ho2TmMg
_chemical_formula_sum 'Tb4 Ho2 Tm1 Mg1'
_symmetry_space_group_name_H-M 'P 1 2/m 1'
_symmetry_Int_Tables_number 10
_symmetry_space_group_name_Hall '-P 2y'
_cell_length_a 4.9678
_cell_length_b 4.9589
_cell_length_c 9.8724
_cell_angle_alpha 90.00
_cell_angle_beta 90.05
_cell_angle_gamma 90.00
loop_
_atom_site_label
_atom_site_type_symbol
_atom_site_fract_x
_atom_site_fract_y
_atom_site_fract_z
Tb1 Tb 0.0002 0.0000 0.2483
Tb2 Tb 0.4999 0.5000 0.2484
Ho1 Ho 0.0000 0.5000 0.0000
Ho2 Ho 0.5000 0.0000 0.5000
Tm1 Tm 0.0000 0.5000 0.5000
Mg1 Mg 0.5000 0.0000 0.0000
```



Calculated powder diffractogram
Compound: Sr4Sc5
Radiation: Cu Ka
Structure: a cell relaxed with GGA-PBE
Neutral-atom scattering factors, no anomalous dispersion.

The 10 most intense peaks (10 to 90 degrees two-theta), most intense first:
2θ = 30.77°, rel. 100
2θ = 31.44°, rel. 86
2θ = 55.14°, rel. 31
2θ = 44.57°, rel. 29
2θ = 62.64°, rel. 24
2θ = 21.86°, rel. 19
2θ = 54.71°, rel. 16
2θ = 40.60°, rel. 12
2θ = 73.14°, rel. 12
2θ = 79.75°, rel. 10

Crystal structure
```
data_Sr4Sc5
_chemical_formula_sum 'Sr8 Sc10'
_symmetry_space_group_name_H-M 'P 63/m c m'
_symmetry_Int_Tables_number 193
_symmetry_space_group_name_Hall '-P 6c 2'
_cell_length_a 10.0658
_cell_length_b 10.0658
_cell_length_c 6.8979
_cell_angle_alpha 90.00
_cell_angle_beta 90.00
_cell_angle_gamma 120.00
loop_
_atom_site_label
_atom_site_type_symbol
_atom_site_fract_x
_atom_site_fract_y
_atom_site_fract_z
Sr1 Sr 0.0000 0.0000 0.0000
Sr2 Sr 0.0000 0.3207 0.2500
Sc1 Sc 0.0000 0.3672 0.7500
Sc2 Sc 0.3333 0.6667 0.0000
```



Calculated powder diffractogram
Compound: Ho3PaSe4
Radiation: Cu Ka
Structure: a cell relaxed with GGA-PBE
Neutral-atom scattering factors, no anomalous dispersion.

The 10 most intense peaks (10 to 90 degrees two-theta), most intense first:
2θ = 31.19°, rel. 100
2θ = 43.91°, rel. 39
2θ = 45.45°, rel. 35
2θ = 27.22°, rel. 20
2θ = 56.15°, rel. 19
2θ = 72.76°, rel. 17
2θ = 75.02°, rel. 16
2θ = 82.91°, rel. 13
2θ = 65.05°, rel. 12
2θ = 26.01°, rel. 8

Crystal structure
```
data_Ho3PaSe4
_chemical_formula_sum 'Ho9 Pa3 Se12'
_symmetry_space_group_name_H-M 'R -3 m'
_symmetry_Int_Tables_number 166
_symmetry_space_group_name_Hall '-R 3 2"'
_cell_length_a 3.9909
_cell_length_b 3.9909
_cell_length_c 41.1065
_cell_angle_alpha 90.00
_cell_angle_beta 90.00
_cell_angle_gamma 120.00
loop_
_atom_site_label
_atom_site_type_symbol
_atom_site_fract_x
_atom_site_fract_y
_atom_site_fract_z
Ho1 Ho 0.0000 0.0000 0.0000
Ho2 Ho 0.0000 0.0000 0.2498
Pa1 Pa 0.0000 0.0000 0.5000
Se1 Se 0.0000 0.0000 0.1233
Se2 Se 0.0000 0.0000 0.3746
```



Calculated powder diffractogram
Compound: Pr3GaHg2
Radiation: Cu Ka
Structure: a cell relaxed with GGA-PBE
Neutral-atom scattering factors, no anomalous dispersion.

The 10 most intense peaks (10 to 90 degrees two-theta), most intense first:
2θ = 33.15°, rel. 100
2θ = 59.24°, rel. 29
2θ = 33.04°, rel. 20
2θ = 59.08°, rel. 15
2θ = 47.52°, rel. 14
2θ = 69.58°, rel. 11
2θ = 79.19°, rel. 9
2θ = 47.64°, rel. 7
2θ = 79.35°, rel. 7
2θ = 10.92°, rel. 4

Crystal structure
```
data_Pr3GaHg2
_chemical_formula_sum 'Pr6 Ga2 Hg4'
_symmetry_space_group_name_H-M 'P m m n'
_symmetry_Int_Tables_number 59
_cell_length_a 5.4220
_cell_length_b 16.2070
_cell_length_c 3.8174
_cell_angle_alpha 90.00
_cell_angle_beta 90.00
_cell_angle_gamma 90.00
loop_
_symmetry_equiv_pos_as_xyz
'x,y,z'
'-x,-y,-z'
'-x+1/2,-y+1/2,z'
'x+1/2,y+1/2,-z'
'x+1/2,-y,-z'
'-x+1/2,y,z'
'-x,y+1/2,-z'
'x,-y+1/2,z'
loop_
_atom_site_label
_atom_site_type_symbol
_atom_site_fract_x
_atom_site_fract_y
_atom_site_fract_z
Pr1 Pr 0.2500 0.0914 0.9996
Pr2 Pr 0.2500 0.7500 0.0013
Ga1 Ga 0.2500 0.2500 0.4988
Hg1 Hg 0.2500 0.5793 0.5005
```



Calculated powder diffractogram
Compound: Ba2MgGa2O6
Radiation: Cu Ka
Structure: a cell relaxed with GGA-PBE
Neutral-atom scattering factors, no anomalous dispersion.

The 10 most intense peaks (10 to 90 degrees two-theta), most intense first:
2θ = 31.42°, rel. 100
2θ = 30.18°, rel. 98
2θ = 44.12°, rel. 41
2θ = 54.39°, rel. 39
2θ = 71.86°, rel. 21
2θ = 36.58°, rel. 20
2θ = 53.60°, rel. 20
2θ = 62.75°, rel. 19
2θ = 15.54°, rel. 17
2θ = 20.19°, rel. 17

Crystal structure
```
data_Ba2MgGa2O6
_chemical_formula_sum 'Ba6 Mg3 Ga6 O18'
_symmetry_space_group_name_H-M 'R -3 m'
_symmetry_Int_Tables_number 166
_symmetry_space_group_name_Hall '-R 3 2"'
_cell_length_a 5.9233
_cell_length_b 5.9233
_cell_length_c 17.1066
_cell_angle_alpha 90.00
_cell_angle_beta 90.00
_cell_angle_gamma 120.00
loop_
_atom_site_label
_atom_site_type_symbol
_atom_site_fract_x
_atom_site_fract_y
_atom_site_fract_z
Ba1 Ba 0.0000 0.0000 0.2119
Mg1 Mg 0.0000 0.0000 0.0000
Ga1 Ga 0.0000 0.0000 0.4130
O1 O 0.0149 0.5075 0.7483
```



Calculated powder diffractogram
Compound: LiReAg
Radiation: Cu Ka
Structure: a cell relaxed with GGA-PBE
Neutral-atom scattering factors, no anomalous dispersion.

The 10 most intense peaks (10 to 90 degrees two-theta), most intense first:
2θ = 12.24°, rel. 100
2θ = 40.15°, rel. 100
2θ = 45.88°, rel. 62
2θ = 24.62°, rel. 32
2θ = 37.30°, rel. 31
2θ = 64.94°, rel. 26
2θ = 38.09°, rel. 24
2θ = 80.98°, rel. 19
2θ = 54.37°, rel. 18
2θ = 68.82°, rel. 15

Crystal structure
```
data_LiReAg
_chemical_formula_sum 'Li1 Re1 Ag1'
_symmetry_space_group_name_H-M 'P 3 m 1'
_symmetry_Int_Tables_number 156
_symmetry_space_group_name_Hall 'P 3 -2"'
_cell_length_a 2.7283
_cell_length_b 2.7283
_cell_length_c 7.2330
_cell_angle_alpha 90.00
_cell_angle_beta 90.00
_cell_angle_gamma 120.00
loop_
_atom_site_label
_atom_site_type_symbol
_atom_site_fract_x
_atom_site_fract_y
_atom_site_fract_z
Li1 Li 0.0000 0.0000 0.0000
Re1 Re 0.6667 0.3333 0.3229
Ag1 Ag 0.3333 0.6667 0.6737
```